# 1
The following is a computed powder X-ray diffraction pattern of NaSr3Rh. It was derived from a crystal structure in Alexandria, relaxed with GGA-PBE, using CuKα.
No peak broadening, texture or thermal motion is included.

Top 12 peaks for 10 to 90 degrees two-theta, most intense first:
2theta  d [Å]  intensity
29.4  3.037  100
32.1  2.790  97
27.7  3.222  94
49.0  1.860  83
19.5  4.556  82
40.8  2.210  76
37.8  2.379  44
18.6  4.759  41
71.8  1.315  36
44.1  2.055  33
33.6  2.668  30
37.4  2.407  26

Cell and atoms:
Lattice parameters (Å, degrees): 11.1604 11.1604 11.1604 60.00 60.00 60.00
Fractional coordinates of all 20 atoms:
Na  0.0000  0.0000  0.0000
Na  0.0000  0.0000  0.5000
Na  0.0000  0.5000  0.0000
Na  0.5000  0.0000  0.0000
Sr  0.1877  0.1877  0.5623
Sr  0.1877  0.5623  0.1877
Sr  0.1877  0.5623  0.5623
Sr  0.4377  0.4377  0.8123
Sr  0.4377  0.8123  0.4377
Sr  0.4377  0.8123  0.8123
Sr  0.5623  0.1877  0.1877
Sr  0.5623  0.1877  0.5623
Sr  0.5623  0.5623  0.1877
Sr  0.8123  0.4377  0.4377
Sr  0.8123  0.4377  0.8123
Sr  0.8123  0.8123  0.4377
Rh  0.0000  0.5000  0.5000
Rh  0.5000  0.0000  0.5000
Rh  0.5000  0.5000  0.0000
Rh  0.5000  0.5000  0.5000

=====

# 2
The following is a computed powder X-ray diffraction pattern of Na16Tl12Rh. It was derived from a crystal structure in Alexandria, relaxed with GGA-PBE, using CuKα.
No peak broadening, texture or thermal motion is included.

Top 12 peaks for 10 to 90 degrees two-theta, most intense first:
2theta  d [Å]  intensity
18.3  4.835  100
17.9  4.968  68
32.0  2.801  53
35.8  2.510  51
35.5  2.528  49
18.5  4.795  43
32.3  2.775  37
34.5  2.603  35
39.0  2.307  33
26.2  3.404  32
38.4  2.346  31
31.5  2.842  23

Cell and atoms:
Lattice parameters (Å, degrees): 10.2135 10.2135 10.2242 108.82 108.82 108.55
Fractional coordinates of all 29 atoms:
Na  0.0000  0.0000  0.0000
Na  0.0004  0.5803  0.3743
Na  0.0308  0.2616  0.7314
Na  0.1574  0.8801  0.2692
Na  0.2433  0.5891  0.6987
Na  0.2616  0.0308  0.7314
Na  0.2815  0.6013  0.1202
Na  0.3019  0.9146  0.9949
Na  0.5803  0.0004  0.3743
Na  0.5846  0.5846  0.3413
Na  0.5891  0.2433  0.6987
Na  0.6013  0.2815  0.1202
Na  0.6112  0.6112  0.7213
Na  0.8801  0.1574  0.2692
Na  0.8957  0.8957  0.4080
Na  0.9146  0.3019  0.9949
Tl  0.2203  0.4154  0.3183
Tl  0.2299  0.2299  0.5230
Tl  0.3739  0.8032  0.5121
Tl  0.4047  0.4047  0.9146
Tl  0.4154  0.2203  0.3183
Tl  0.5867  0.7833  0.0716
Tl  0.5905  0.9766  0.8829
Tl  0.7516  0.9478  0.6611
Tl  0.7833  0.5867  0.0716
Tl  0.8032  0.3739  0.5121
Tl  0.9478  0.7516  0.6611
Tl  0.9766  0.5905  0.8829
Rh  0.2876  0.2876  0.0823

=====

# 3
The following is a computed powder X-ray diffraction pattern of NaScTeRu2. It was derived from a crystal structure in Alexandria, relaxed with GGA-PBE, using CuKα.
No peak broadening, texture or thermal motion is included.

Top 12 peaks for 10 to 90 degrees two-theta, most intense first:
2theta  d [Å]  intensity
30.9  2.896  100
37.6  2.393  48
50.1  1.819  41
18.5  4.785  39
32.0  2.800  38
63.7  1.461  24
64.3  1.448  19
56.3  1.635  18
54.2  1.692  16
15.8  5.601  15
37.2  2.417  13
82.0  1.176  12

Cell and atoms:
Lattice parameters (Å, degrees): 4.7852 4.7852 5.6006 90.00 90.00 90.00
Fractional coordinates of all 5 atoms:
Na  0.0000  0.0000  0.0000
Sc  0.5000  0.5000  0.5000
Te  0.5000  0.5000  0.0000
Ru  0.0000  0.5000  0.5000
Ru  0.5000  0.0000  0.5000

=====

# 4
The following is a computed powder X-ray diffraction pattern of Na4Si2Ru. It was derived from a crystal structure in Alexandria, relaxed with GGA-PBE, using CuKα.
No peak broadening, texture or thermal motion is included.

Top 12 peaks for 10 to 90 degrees two-theta, most intense first:
2theta  d [Å]  intensity
12.8  6.897  100
32.0  2.800  72
22.5  3.960  71
36.3  2.475  60
49.1  1.854  49
17.1  5.189  40
34.6  2.595  39
45.8  1.980  25
41.5  2.174  23
25.8  3.448  21
25.1  3.554  17
69.4  1.354  16

Cell and atoms:
Lattice parameters (Å, degrees): 7.9529 7.9529 7.9529 138.77 138.77 59.73
Fractional coordinates of all 7 atoms:
Na  0.0000  0.5000  0.5000
Na  0.2071  0.2071  0.0000
Na  0.5000  0.0000  0.5000
Na  0.7929  0.7929  0.0000
Si  0.4188  0.4188  0.0000
Si  0.5812  0.5812  0.0000
Ru  0.0000  0.0000  0.0000

=====

# 5
The following is a computed powder X-ray diffraction pattern of Na2S5. It was derived from a crystal structure in Alexandria, relaxed with GGA-PBE, using CuKα.
No peak broadening, texture or thermal motion is included.

Top 12 peaks for 10 to 90 degrees two-theta, most intense first:
2theta  d [Å]  intensity
33.0  2.714  100
30.8  2.901  99
23.5  3.779  80
30.0  2.980  45
19.8  4.481  39
49.5  1.843  31
26.2  3.398  31
32.8  2.733  23
53.1  1.725  23
49.1  1.855  22
12.0  7.371  19
36.8  2.441  19

Cell and atoms:
Lattice parameters (Å, degrees): 7.8237 14.7423 5.8857 90.00 90.00 90.00
Fractional coordinates of all 28 atoms:
Na  0.0000  0.0000  0.0000
Na  0.0000  0.5000  0.0000
Na  0.0548  0.2500  0.2015
Na  0.4452  0.7500  0.7015
Na  0.5000  0.0000  0.5000
Na  0.5000  0.5000  0.5000
Na  0.5548  0.2500  0.2985
Na  0.9452  0.7500  0.7985
S  0.0462  0.6352  0.3930
S  0.0462  0.8648  0.3930
S  0.1435  0.7500  0.2320
S  0.2041  0.6029  0.6635
S  0.2041  0.8971  0.6635
S  0.2959  0.1029  0.1635
S  0.2959  0.3971  0.1635
S  0.3565  0.2500  0.7320
S  0.4538  0.1352  0.8930
S  0.4538  0.3648  0.8930
S  0.5462  0.6352  0.1070
S  0.5462  0.8648  0.1070
S  0.6435  0.7500  0.2680
S  0.7041  0.6029  0.8365
S  0.7041  0.8971  0.8365
S  0.7959  0.1029  0.3365
S  0.7959  0.3971  0.3365
S  0.8565  0.2500  0.7680
S  0.9538  0.1352  0.6070
S  0.9538  0.3648  0.6070

=====

# 6
The following is a computed powder X-ray diffraction pattern of NaS. It was derived from a crystal structure in Alexandria, relaxed with GGA-PBE, using CuKα.
No peak broadening, texture or thermal motion is included.

Top 12 peaks for 10 to 90 degrees two-theta, most intense first:
2theta  d [Å]  intensity
31.4  2.845  100
47.4  1.918  52
37.1  2.425  49
34.5  2.596  45
49.4  1.845  40
30.5  2.927  37
33.2  2.696  34
46.4  1.957  24
22.7  3.913  24
44.4  2.040  24
17.1  5.192  23
35.4  2.534  19

Cell and atoms:
Lattice parameters (Å, degrees): 4.0953 4.0997 5.6801 72.96 73.10 87.93
Fractional coordinates of all 4 atoms:
Na  0.2120  0.2167  0.2329
Na  0.7880  0.7833  0.7671
S  0.3417  0.3378  0.6782
S  0.6583  0.6622  0.3218